The following is a calculated PXRD pattern of Hf4Zr2Pa5. It was derived from a cell relaxed with GGA-PBE, using CuKα.
No peak broadening, texture or thermal motion is included.

Crystal structure
```
data_Hf4Zr2Pa5
_cell_length_a 7.9891
_cell_length_b 3.0852
_cell_length_c 10.5959
_cell_angle_alpha 90.00
_cell_angle_beta 93.54
_cell_angle_gamma 90.00
_symmetry_space_group_name_H-M 'P 1 2/m 1'
_symmetry_Int_Tables_number 10
loop_
_symmetry_equiv_pos_as_xyz
'x,y,z'
'-x,-y,-z'
'-x,y,-z'
'x,-y,z'
loop_
_atom_site_label
_atom_site_type_symbol
_atom_site_fract_x
_atom_site_fract_y
_atom_site_fract_z
_atom_site_occupancy
Hf1 Hf 0.1421 0.0000 0.4045 1
Hf2 Hf 0.3072 0.0000 0.9522 1
Zr1 Zr 0.0549 0.5000 0.1375 1
Pa1 Pa 0.2143 0.5000 0.6781 1
Pa2 Pa 0.4209 0.5000 0.2225 1
Pa3 Pa 0.5000 0.5000 0.5000 1
```

Most intense lines, 2θ from 5° to 70°, by angle:
- 2θ = 8.36°, rel. 9.5
- 2θ = 11.10°, rel. 10.4
- 2θ = 32.43°, rel. 15.9
- 2θ = 33.64°, rel. 26.6
- 2θ = 34.28°, rel. 51.9
- 2θ = 35.05°, rel. 100.0
- 2θ = 35.17°, rel. 24.8
- 2θ = 35.86°, rel. 16.6
- 2θ = 38.16°, rel. 19.8
- 2θ = 40.11°, rel. 11.1
- 2θ = 46.29°, rel. 9.3
- 2θ = 59.95°, rel. 15.9

=====

The following is a calculated PXRD pattern of Pm3Nd2YS6. It was derived from a cell relaxed with GGA-PBE, using CuKα.
No peak broadening, texture or thermal motion is included.

Crystal structure
```
data_Pm3Nd2YS6
_cell_length_a 6.9669
_cell_length_b 12.1045
_cell_length_c 6.9672
_cell_angle_alpha 90.00
_cell_angle_beta 109.51
_cell_angle_gamma 90.00
_symmetry_space_group_name_H-M 'C 1 2/m 1'
_symmetry_Int_Tables_number 12
loop_
_symmetry_equiv_pos_as_xyz
'x,y,z'
'-x,-y,-z'
'-x,y,-z'
'x,-y,z'
'x+1/2,y+1/2,z'
'-x+1/2,-y+1/2,-z'
'-x+1/2,y+1/2,-z'
'x+1/2,-y+1/2,z'
loop_
_atom_site_label
_atom_site_type_symbol
_atom_site_fract_x
_atom_site_fract_y
_atom_site_fract_z
_atom_site_occupancy
Pm1 Pm 0.0000 0.0000 0.0000 1
Pm2 Pm 0.0000 0.3297 0.0000 1
Nd1 Nd 0.0000 0.1669 0.5000 1
Y1 Y 0.0000 0.5000 0.5000 1
S1 S 0.2414 0.5000 0.2496 1
S2 S 0.2449 0.3374 0.7473 1
```

Most intense lines, 2θ from 5° to 70°, by angle:
- 2θ = 13.48°, rel. 0.8
- 2θ = 15.35°, rel. 0.9
- 2θ = 27.09°, rel. 35.6
- 2θ = 27.16°, rel. 35.1
- 2θ = 31.42°, rel. 100.0
- 2θ = 44.93°, rel. 12.0
- 2θ = 45.05°, rel. 59.8
- 2θ = 53.32°, rel. 17.5
- 2θ = 53.41°, rel. 17.4
- 2θ = 55.87°, rel. 12.4
- 2θ = 56.01°, rel. 12.4
- 2θ = 65.58°, rel. 11.4

=====

The following is a calculated PXRD pattern of Na5B7C3. It was derived from a cell relaxed with GGA-PBE, using CuKα.
No peak broadening, texture or thermal motion is included.

Crystal structure
```
data_Na5B7C3
_cell_length_a 23.2076
_cell_length_b 2.8099
_cell_length_c 10.0103
_cell_angle_alpha 90.00
_cell_angle_beta 107.15
_cell_angle_gamma 90.00
_symmetry_space_group_name_H-M 'C 1 2/m 1'
_symmetry_Int_Tables_number 12
loop_
_symmetry_equiv_pos_as_xyz
'x,y,z'
'-x,-y,-z'
'-x,y,-z'
'x,-y,z'
'x+1/2,y+1/2,z'
'-x+1/2,-y+1/2,-z'
'-x+1/2,y+1/2,-z'
'x+1/2,-y+1/2,z'
loop_
_atom_site_label
_atom_site_type_symbol
_atom_site_fract_x
_atom_site_fract_y
_atom_site_fract_z
_atom_site_occupancy
Na1 Na 0.0000 0.0000 0.0000 1
Na2 Na 0.0000 0.5000 0.5000 1
Na3 Na 0.0973 0.0000 0.7008 1
Na4 Na 0.0984 0.5000 0.1977 1
Na5 Na 0.1995 0.0000 0.3973 1
Na6 Na 0.1989 0.5000 0.9000 1
B1 B 0.0133 0.5000 0.7775 1
B2 B 0.0797 0.0000 0.4122 1
B3 B 0.1073 0.0000 0.9680 1
B4 B 0.1716 0.5000 0.5968 1
B5 B 0.1751 0.0000 0.1032 1
B6 B 0.2153 0.0000 0.6835 1
B7 B 0.2193 0.5000 0.1892 1
C1 C 0.0178 0.0000 0.2862 1
C2 C 0.0758 0.5000 0.9053 1
C3 C 0.1113 0.5000 0.4771 1
```

Most intense lines, 2θ from 5° to 70°, by angle:
- 2θ = 7.97°, rel. 6.6
- 2θ = 34.78°, rel. 12.4
- 2θ = 36.41°, rel. 16.5
- 2θ = 40.69°, rel. 24.1
- 2θ = 40.89°, rel. 24.0
- 2θ = 41.99°, rel. 38.4
- 2θ = 42.22°, rel. 100.0
- 2θ = 55.47°, rel. 3.3
- 2θ = 56.69°, rel. 4.8
- 2θ = 56.85°, rel. 4.7
- 2θ = 63.42°, rel. 16.4
- 2θ = 66.56°, rel. 7.8